Hf2MoC3: computed XRD peak list (Cu Kα), based on DFT lattice parameters and positions (PBE).
Intensities are scaled so that the largest is 100.

Largest 6 diffraction maxima, sorted by position, 2θ from 15° to 90°:
2θ (°), I (rel.)
34.1, 100
39.6, 66
57.2, 43
68.3, 41
71.8, 14
85.3, 7

Structural model:
a = 6.4316 Å, b = 4.5547 Å, c = 9.6614 Å
α = 90.00°, β = 90.00°, γ = 90.00°
Element x y z (fractional)
Hf 0.1212 0.2500 0.2489
Hf 0.1306 0.2500 0.5802
Hf 0.3694 0.7500 0.0802
Hf 0.3788 0.7500 0.7489
Hf 0.6212 0.2500 0.2511
Hf 0.6306 0.2500 0.9198
Hf 0.8694 0.7500 0.4198
Hf 0.8788 0.7500 0.7511
Mo 0.1311 0.2500 0.9035
Mo 0.3689 0.7500 0.4035
Mo 0.6311 0.2500 0.5965
Mo 0.8689 0.7500 0.0965
C 0.1199 0.7500 0.9188
C 0.1228 0.7500 0.2504
C 0.1287 0.7500 0.5810
C 0.3713 0.2500 0.0810
C 0.3772 0.2500 0.7504
C 0.3801 0.2500 0.4188
C 0.6199 0.7500 0.5812
C 0.6228 0.7500 0.2496
C 0.6287 0.7500 0.9190
C 0.8713 0.2500 0.4190
C 0.8772 0.2500 0.7496
C 0.8801 0.2500 0.0812

=====

NaHf2MoC: computed XRD peak list (Cu Kα), based on DFT lattice parameters and positions (PBE).
Intensities are scaled so that the largest is 100.

Largest 6 diffraction maxima, sorted by position, 2θ from 15° to 90°:
2θ (°), I (rel.)
20.4, 30
25.8, 23
33.1, 100
36.8, 46
56.6, 27
63.9, 30

Structural model:
a = 4.8859 Å, b = 4.8859 Å, c = 4.3609 Å
α = 90.00°, β = 90.00°, γ = 90.00°
Element x y z (fractional)
Na 0.0000 0.0000 0.0000
Hf 0.0000 0.5000 0.0000
Hf 0.5000 0.0000 0.0000
Mo 0.0000 0.0000 0.5000
C 0.5000 0.5000 0.5000

=====

HfMoRu2C: computed XRD peak list (Cu Kα), based on DFT lattice parameters and positions (PBE).
Intensities are scaled so that the largest is 100.

Largest 6 diffraction maxima, sorted by position, 2θ from 15° to 90°:
2θ (°), I (rel.)
37.7, 100
43.1, 19
44.1, 35
63.4, 23
75.4, 13
76.9, 25

Structural model:
a = 4.1049 Å, b = 4.1049 Å, c = 4.1976 Å
α = 90.00°, β = 90.00°, γ = 90.00°
Element x y z (fractional)
Hf 0.0000 0.0000 0.0000
Mo 0.5000 0.5000 0.0000
Ru 0.0000 0.5000 0.5000
Ru 0.5000 0.0000 0.5000
C 0.5000 0.5000 0.5000

=====

Hf4CN: computed XRD peak list (Cu Kα), based on DFT lattice parameters and positions (PBE).
Intensities are scaled so that the largest is 100.

Largest 6 diffraction maxima, sorted by position, 2θ from 15° to 90°:
2θ (°), I (rel.)
33.3, 47
36.0, 100
37.3, 30
58.5, 19
61.2, 20
69.0, 24

Structural model:
a = 6.3187 Å, b = 6.3187 Å, c = 6.3187 Å
α = 105.87°, β = 105.87°, γ = 116.94°
Element x y z (fractional)
Hf 0.1970 0.4945 0.7025
Hf 0.2445 0.0421 0.7975
Hf 0.2445 0.4470 0.2025
Hf 0.2959 0.0000 0.2959
Hf 0.7041 0.0000 0.7041
Hf 0.7500 0.5459 0.7959
Hf 0.7500 0.9541 0.2041
Hf 0.7921 0.4945 0.2975
C 0.2507 0.7507 0.5000
C 0.5007 0.5007 0.0000
N 0.7435 0.2435 0.5000
N 0.9935 0.9935 0.0000

=====

Hf5C4N: computed XRD peak list (Cu Kα), based on DFT lattice parameters and positions (PBE).
Intensities are scaled so that the largest is 100.

Largest 6 diffraction maxima, sorted by position, 2θ from 15° to 90°:
2θ (°), I (rel.)
33.5, 100
38.9, 43
39.0, 21
56.2, 29
67.0, 29
70.4, 15

Structural model:
a = 8.6710 Å, b = 8.6710 Å, c = 8.6710 Å
α = 158.21°, β = 149.09°, γ = 38.13°
Element x y z (fractional)
Hf 0.0000 0.0000 0.0000
Hf 0.1999 0.1999 0.0000
Hf 0.3984 0.3984 0.0000
Hf 0.6016 0.6016 0.0000
Hf 0.8001 0.8001 0.0000
C 0.0988 0.5988 0.5000
C 0.3019 0.8019 0.5000
C 0.6981 0.1981 0.5000
C 0.9012 0.4012 0.5000
N 0.5000 0.0000 0.5000

=====

HfNb4CN4: computed XRD peak list (Cu Kα), based on DFT lattice parameters and positions (PBE).
Intensities are scaled so that the largest is 100.

Largest 6 diffraction maxima, sorted by position, 2θ from 15° to 90°:
2θ (°), I (rel.)
34.6, 100
39.8, 28
40.4, 52
58.0, 32
58.4, 17
69.7, 27

Structural model:
a = 11.5414 Å, b = 11.5414 Å, c = 11.5414 Å
α = 164.26°, β = 164.26°, γ = 22.33°
Element x y z (fractional)
Hf 0.0000 0.0000 0.0000
Nb 0.2052 0.2052 0.0000
Nb 0.4052 0.4052 0.0000
Nb 0.5948 0.5948 0.0000
Nb 0.7948 0.7948 0.0000
C 0.5000 0.5000 0.0000
N 0.1022 0.1022 0.0000
N 0.3039 0.3039 0.0000
N 0.6961 0.6961 0.0000
N 0.8978 0.8978 0.0000

=====

Hf2NbC3: computed XRD peak list (Cu Kα), based on DFT lattice parameters and positions (PBE).
Intensities are scaled so that the largest is 100.

Largest 6 diffraction maxima, sorted by position, 2θ from 15° to 90°:
2θ (°), I (rel.)
33.8, 100
39.2, 66
56.6, 44
67.6, 42
71.0, 15
84.3, 7

Structural model:
a = 6.4982 Å, b = 4.6000 Å, c = 9.7513 Å
α = 90.00°, β = 90.00°, γ = 90.00°
Element x y z (fractional)
Hf 0.1245 0.2500 0.2491
Hf 0.1266 0.2500 0.9170
Hf 0.3734 0.7500 0.4170
Hf 0.3755 0.7500 0.7491
Hf 0.6245 0.2500 0.2509
Hf 0.6266 0.2500 0.5830
Hf 0.8734 0.7500 0.0830
Hf 0.8755 0.7500 0.7509
Nb 0.1225 0.2500 0.5848
Nb 0.3775 0.7500 0.0848
Nb 0.6225 0.2500 0.9152
Nb 0.8775 0.7500 0.4152
C 0.1228 0.7500 0.5821
C 0.1244 0.7500 0.2513
C 0.1272 0.7500 0.9172
C 0.3728 0.2500 0.4172
C 0.3756 0.2500 0.7513
C 0.3772 0.2500 0.0821
C 0.6228 0.7500 0.9179
C 0.6244 0.7500 0.2487
C 0.6272 0.7500 0.5828
C 0.8728 0.2500 0.0828
C 0.8756 0.2500 0.7487
C 0.8772 0.2500 0.4179

=====

Hf2NiC: computed XRD peak list (Cu Kα), based on DFT lattice parameters and positions (PBE).
Intensities are scaled so that the largest is 100.

Largest 6 diffraction maxima, sorted by position, 2θ from 15° to 90°:
2θ (°), I (rel.)
31.5, 67
34.7, 91
37.3, 33
38.0, 100
55.8, 41
65.5, 46

Structural model:
a = 3.3329 Å, b = 20.4921 Å, c = 3.4119 Å
α = 90.00°, β = 90.00°, γ = 90.00°
Element x y z (fractional)
Hf 0.0000 0.0845 0.2500
Hf 0.0000 0.3035 0.2500
Hf 0.0000 0.6965 0.7500
Hf 0.0000 0.9155 0.7500
Hf 0.5000 0.1965 0.7500
Hf 0.5000 0.4155 0.7500
Hf 0.5000 0.5845 0.2500
Hf 0.5000 0.8035 0.2500
Ni 0.0000 0.4583 0.2500
Ni 0.0000 0.5417 0.7500
Ni 0.5000 0.0417 0.7500
Ni 0.5000 0.9583 0.2500
C 0.0000 0.1932 0.2500
C 0.0000 0.8068 0.7500
C 0.5000 0.3068 0.7500
C 0.5000 0.6932 0.2500

=====

Hf3TaNi2C: computed XRD peak list (Cu Kα), based on DFT lattice parameters and positions (PBE).
Intensities are scaled so that the largest is 100.

Largest 6 diffraction maxima, sorted by position, 2θ from 15° to 90°:
2θ (°), I (rel.)
32.6, 100
41.2, 41
41.3, 42
42.5, 26
43.0, 15
60.7, 27

Structural model:
a = 4.2540 Å, b = 4.3750 Å, c = 12.6295 Å
α = 90.00°, β = 90.00°, γ = 90.00°
Element x y z (fractional)
Hf 0.0000 0.0000 0.0000
Hf 0.0000 0.5000 0.1835
Hf 0.0000 0.5000 0.8165
Hf 0.5000 0.0000 0.3165
Hf 0.5000 0.0000 0.6835
Hf 0.5000 0.5000 0.5000
Ta 0.0000 0.0000 0.5000
Ta 0.5000 0.5000 0.0000
Ni 0.0000 0.5000 0.3763
Ni 0.0000 0.5000 0.6237
Ni 0.5000 0.0000 0.1237
Ni 0.5000 0.0000 0.8763
C 0.0000 0.5000 0.0000
C 0.5000 0.0000 0.5000

=====

HfNpC: computed XRD peak list (Cu Kα), based on DFT lattice parameters and positions (PBE).
Intensities are scaled so that the largest is 100.

Largest 6 diffraction maxima, sorted by position, 2θ from 15° to 90°:
2θ (°), I (rel.)
21.3, 38
23.5, 40
31.7, 43
34.4, 100
36.3, 46
42.5, 51

Structural model:
a = 7.5690 Å, b = 3.2676 Å, c = 8.3322 Å
α = 90.00°, β = 90.00°, γ = 90.00°
Element x y z (fractional)
Hf 0.0055 0.2500 0.1591
Hf 0.4945 0.7500 0.6591
Hf 0.5055 0.2500 0.3409
Hf 0.9945 0.7500 0.8409
Np 0.1176 0.2500 0.4974
Np 0.3824 0.7500 0.9974
Np 0.6176 0.2500 0.0026
Np 0.8824 0.7500 0.5026
C 0.1672 0.2500 0.9298
C 0.3328 0.7500 0.4298
C 0.6672 0.2500 0.5702
C 0.8328 0.7500 0.0702

=====

Hf6C2O: computed XRD peak list (Cu Kα), based on DFT lattice parameters and positions (PBE).
Intensities are scaled so that the largest is 100.

Largest 6 diffraction maxima, sorted by position, 2θ from 15° to 90°:
2θ (°), I (rel.)
31.8, 20
34.3, 24
36.2, 100
56.6, 20
62.6, 20
67.8, 20

Structural model:
a = 9.7601 Å, b = 9.7601 Å, c = 5.2322 Å
α = 90.00°, β = 90.00°, γ = 120.00°
Element x y z (fractional)
Hf 0.1093 0.5557 0.2468
Hf 0.1122 0.2237 0.2452
Hf 0.1115 0.8878 0.2452
Hf 0.2186 0.4419 0.7410
Hf 0.2232 0.7814 0.7410
Hf 0.2237 0.1122 0.7548
Hf 0.4419 0.2186 0.2590
Hf 0.4443 0.5535 0.2468
Hf 0.4465 0.8907 0.2468
Hf 0.5535 0.4443 0.7532
Hf 0.5557 0.1093 0.7532
Hf 0.5581 0.7768 0.7410
Hf 0.7763 0.8885 0.2452
Hf 0.7768 0.5581 0.2590
Hf 0.7814 0.2232 0.2590
Hf 0.8878 0.1115 0.7548
Hf 0.8885 0.7763 0.7548
Hf 0.8907 0.4465 0.7532
C 0.0000 0.3329 0.0000
C 0.0000 0.6662 0.5000
C 0.3329 0.0000 0.0000
C 0.3338 0.3338 0.5000
C 0.6662 0.0000 0.5000
C 0.6671 0.6671 0.0000
O 0.0000 0.0000 0.0000
O 0.3333 0.6667 0.4948
O 0.6667 0.3333 0.5052

=====

HfPaTi2C4: computed XRD peak list (Cu Kα), based on DFT lattice parameters and positions (PBE).
Intensities are scaled so that the largest is 100.

Largest 6 diffraction maxima, sorted by position, 2θ from 15° to 90°:
2θ (°), I (rel.)
16.6, 76
32.0, 36
33.2, 34
33.5, 100
38.8, 94
55.9, 32

Structural model:
a = 5.6711 Å, b = 3.2723 Å, c = 5.7155 Å
α = 90.00°, β = 109.42°, γ = 90.00°
Element x y z (fractional)
Hf 0.0000 0.0000 0.0000
Pa 0.0000 0.5000 0.5000
Ti 0.5000 0.0000 0.5000
Ti 0.5000 0.5000 0.0000
C 0.2641 0.5000 0.2501
C 0.2726 0.0000 0.7655
C 0.7274 0.0000 0.2345
C 0.7359 0.5000 0.7499